This entry pairs a crystal structure of HoOF with its simulated powder X-ray diffraction pattern. Radiation: CuKα. Structure: the GGA-PBE geometry in the Materials Project.

Most intense lines, 10 to 90 degrees two-theta, by intensity:
| d/Å | I/Imax |
| --- | --- |
| 3.112 | 100.0 |
| 2.706 | 38.6 |
| 1.902 | 36.0 |
| 1.925 | 30.9 |
| 3.164 | 30.3 |
| 1.630 | 26.4 |

Cell and atoms:
Cell: 6.698 6.698 6.698 Å, 32.98 32.98 32.98°
Positions (direct):
Ho (0.241, 0.241, 0.241)
Ho (0.759, 0.759, 0.759)
O (0.122, 0.122, 0.122)
O (0.878, 0.878, 0.878)
F (0.370, 0.370, 0.370)
F (0.630, 0.630, 0.630)

***

This entry pairs a crystal structure of Na2P2H4N2O5 with its simulated powder X-ray diffraction pattern. Radiation: CuKα. Structure: the GGA-PBE geometry in the Materials Project.

Most intense lines, 10 to 90 degrees two-theta, by intensity:
| d/Å | I/Imax |
| --- | --- |
| 5.003 | 100.0 |
| 4.219 | 66.4 |
| 2.723 | 43.0 |
| 4.246 | 40.7 |
| 3.517 | 37.8 |
| 3.598 | 37.6 |

Cell and atoms:
Cell: 11.505 11.505 15.710 Å, 132.55 132.55 26.47°
Positions (direct):
Na (0.063, 0.746, 0.897)
Na (0.186, 0.320, 0.905)
Na (0.254, 0.937, 0.603)
Na (0.320, 0.186, 0.405)
Na (0.680, 0.814, 0.595)
Na (0.746, 0.063, 0.397)
Na (0.814, 0.680, 0.095)
Na (0.937, 0.254, 0.103)
P (0.285, 0.606, 0.578)
P (0.344, 0.419, 0.689)
P (0.394, 0.715, 0.922)
P (0.419, 0.344, 0.189)
P (0.581, 0.656, 0.811)
P (0.606, 0.285, 0.078)
P (0.656, 0.581, 0.311)
P (0.715, 0.394, 0.422)
H (0.032, 0.174, 0.363)
H (0.109, 0.546, 0.344)
H (0.135, 0.363, 0.713)
H (0.174, 0.032, 0.863)
H (0.258, 0.718, 0.345)
H (0.282, 0.742, 0.155)
H (0.363, 0.135, 0.213)
H (0.454, 0.891, 0.156)
H (0.546, 0.109, 0.844)
H (0.637, 0.865, 0.787)
H (0.718, 0.258, 0.845)
H (0.742, 0.282, 0.655)
H (0.826, 0.968, 0.137)
H (0.865, 0.637, 0.287)
H (0.891, 0.454, 0.656)
H (0.968, 0.826, 0.637)
N (0.163, 0.641, 0.629)
N (0.359, 0.837, 0.871)
N (0.435, 0.514, 0.326)
N (0.486, 0.565, 0.174)
N (0.514, 0.435, 0.826)
N (0.565, 0.486, 0.674)
N (0.641, 0.163, 0.129)
N (0.837, 0.359, 0.371)
O (0.066, 0.346, 0.714)
O (0.073, 0.883, 0.572)
O (0.117, 0.927, 0.928)
O (0.141, 0.550, 0.117)
O (0.143, 0.515, 0.701)
O (0.346, 0.066, 0.214)
O (0.372, 0.393, 0.463)
O (0.393, 0.372, 0.963)
O (0.450, 0.859, 0.383)
O (0.485, 0.857, 0.799)
O (0.515, 0.143, 0.201)
O (0.550, 0.141, 0.617)
O (0.607, 0.628, 0.037)
O (0.628, 0.607, 0.537)
O (0.654, 0.934, 0.786)
O (0.857, 0.485, 0.299)
O (0.859, 0.450, 0.883)
O (0.883, 0.073, 0.072)
O (0.927, 0.117, 0.428)
O (0.934, 0.654, 0.286)

***

This entry pairs a crystal structure of Re3Sb with its simulated powder X-ray diffraction pattern. Radiation: CuKα. Structure: the GGA-PBE geometry in the Materials Project.

Most intense lines, 10 to 90 degrees two-theta, by intensity:
| d/Å | I/Imax |
| --- | --- |
| 2.260 | 100.0 |
| 1.305 | 34.9 |
| 1.598 | 17.1 |
| 1.130 | 11.4 |
| 3.691 | 2.0 |
| 1.928 | 1.1 |

Cell and atoms:
Cell: 4.521 4.521 4.521 Å, 60.00 60.00 60.00°
Positions (direct):
Re (0.000, 0.000, 0.000)
Re (0.250, 0.250, 0.250)
Re (0.750, 0.750, 0.750)
Sb (0.500, 0.500, 0.500)

***

This entry pairs a crystal structure of NdI3O9 with its simulated powder X-ray diffraction pattern. Radiation: CuKα. Structure: the GGA-PBE geometry in the Materials Project.

Most intense lines, 10 to 90 degrees two-theta, by intensity:
| d/Å | I/Imax |
| --- | --- |
| 3.003 | 100.0 |
| 2.462 | 83.3 |
| 3.442 | 83.1 |
| 3.136 | 78.3 |
| 3.523 | 74.6 |
| 1.707 | 27.3 |

Cell and atoms:
Cell: 6.884 8.295 6.674 Å, 90.00 90.00 90.00°
Positions (direct):
Nd (0.250, 0.250, 0.121)
Nd (0.750, 0.750, 0.879)
I (0.250, 0.546, 0.635)
I (0.250, 0.750, 0.093)
I (0.250, 0.954, 0.635)
I (0.750, 0.046, 0.365)
I (0.750, 0.250, 0.907)
I (0.750, 0.454, 0.365)
O (0.069, 0.608, 0.961)
O (0.069, 0.892, 0.961)
O (0.070, 0.750, 0.590)
O (0.250, 0.011, 0.364)
O (0.250, 0.250, 0.771)
O (0.250, 0.489, 0.364)
O (0.430, 0.750, 0.590)
O (0.431, 0.608, 0.961)
O (0.431, 0.892, 0.961)
O (0.569, 0.108, 0.039)
O (0.569, 0.392, 0.039)
O (0.570, 0.250, 0.410)
O (0.750, 0.511, 0.636)
O (0.750, 0.750, 0.229)
O (0.750, 0.989, 0.636)
O (0.930, 0.250, 0.410)
O (0.931, 0.108, 0.039)
O (0.931, 0.392, 0.039)

***

This entry pairs a crystal structure of Tb4Fe34C3 with its simulated powder X-ray diffraction pattern. Radiation: CuKα. Structure: the GGA-PBE geometry in the Materials Project.

Most intense lines, 10 to 90 degrees two-theta, by intensity:
| d/Å | I/Imax |
| --- | --- |
| 2.161 | 100.0 |
| 2.063 | 87.1 |
| 2.983 | 73.5 |
| 2.125 | 71.2 |
| 2.130 | 70.1 |
| 2.139 | 68.8 |

Cell and atoms:
Cell: 6.450 6.483 12.928 Å, 83.75 83.28 83.91°
Positions (direct):
Tb (0.152, 0.164, 0.077)
Tb (0.161, 0.161, 0.575)
Tb (0.839, 0.839, 0.425)
Tb (0.848, 0.836, 0.923)
Fe (0.000, 0.499, 0.250)
Fe (0.000, 0.501, 0.750)
Fe (0.155, 0.159, 0.823)
Fe (0.155, 0.646, 0.077)
Fe (0.155, 0.650, 0.577)
Fe (0.158, 0.157, 0.326)
Fe (0.211, 0.502, 0.394)
Fe (0.213, 0.498, 0.893)
Fe (0.215, 0.785, 0.749)
Fe (0.215, 0.786, 0.250)
Fe (0.351, 0.844, 0.423)
Fe (0.352, 0.842, 0.922)
Fe (0.404, 0.403, 0.202)
Fe (0.404, 0.404, 0.701)
Fe (0.498, 0.001, 0.749)
Fe (0.499, 0.786, 0.108)
Fe (0.499, 0.788, 0.605)
Fe (0.500, 0.500, 0.000)
Fe (0.500, 0.500, 0.500)
Fe (0.501, 0.212, 0.395)
Fe (0.501, 0.214, 0.892)
Fe (0.502, 0.999, 0.251)
Fe (0.596, 0.596, 0.299)
Fe (0.596, 0.597, 0.798)
Fe (0.648, 0.158, 0.078)
Fe (0.649, 0.156, 0.577)
Fe (0.785, 0.214, 0.750)
Fe (0.785, 0.215, 0.251)
Fe (0.787, 0.502, 0.107)
Fe (0.789, 0.498, 0.606)
Fe (0.842, 0.843, 0.674)
Fe (0.845, 0.350, 0.423)
Fe (0.845, 0.354, 0.923)
Fe (0.845, 0.841, 0.177)
C (0.000, 0.001, 0.251)
C (0.000, 0.999, 0.749)
C (0.500, 0.000, 0.000)

***

This entry pairs a crystal structure of TeMoWSeS2 with its simulated powder X-ray diffraction pattern. Radiation: CuKα. Structure: the GGA-PBE geometry in the Materials Project.

Most intense lines, 10 to 90 degrees two-theta, by intensity:
| d/Å | I/Imax |
| --- | --- |
| 7.557 | 100.0 |
| 2.451 | 76.0 |
| 2.041 | 40.7 |
| 2.865 | 38.1 |
| 1.655 | 28.6 |
| 6.297 | 20.4 |

Cell and atoms:
Cell: 3.311 3.311 37.785 Å, 90.00 90.00 120.00°
Positions (direct):
Te (0.000, 0.000, 0.000)
Te (0.000, 0.000, 0.102)
Mo (0.000, 0.000, 0.487)
Mo (0.333, 0.667, 0.675)
W (0.000, 0.000, 0.862)
W (0.333, 0.667, 0.051)
Se (0.333, 0.667, 0.818)
Se (0.333, 0.667, 0.907)
S (0.000, 0.000, 0.634)
S (0.000, 0.000, 0.715)
S (0.333, 0.667, 0.447)
S (0.333, 0.667, 0.527)

***

This entry pairs a crystal structure of KO2 with its simulated powder X-ray diffraction pattern. Radiation: CuKα. Structure: the GGA-PBE geometry in the Materials Project.

Most intense lines, 10 to 90 degrees two-theta, by intensity:
| d/Å | I/Imax |
| --- | --- |
| 2.737 | 100.0 |
| 5.433 | 91.1 |
| 3.871 | 78.7 |
| 1.928 | 59.6 |
| 2.717 | 48.8 |
| 2.445 | 41.9 |

Cell and atoms:
Cell: 3.871 3.871 5.433 Å, 90.00 90.00 90.00°
Positions (direct):
K (0.000, 0.000, 0.000)
O (0.000, 0.000, 0.500)
O (0.500, 0.500, 0.000)

***

This entry pairs a crystal structure of MnFeSi4 with its simulated powder X-ray diffraction pattern. Radiation: CuKα. Structure: the GGA-PBE geometry in the Materials Project.

Most intense lines, 10 to 90 degrees two-theta, by intensity:
| d/Å | I/Imax |
| --- | --- |
| 1.872 | 100.0 |
| 5.143 | 80.8 |
| 2.411 | 75.2 |
| 1.930 | 57.4 |
| 1.103 | 34.2 |
| 1.365 | 17.5 |

Cell and atoms:
Cell: 2.729 2.729 10.285 Å, 90.00 90.00 90.00°
Positions (direct):
Mn (0.000, 0.000, 0.000)
Fe (0.000, 0.000, 0.500)
Si (0.500, 0.500, 0.135)
Si (0.500, 0.500, 0.364)
Si (0.500, 0.500, 0.636)
Si (0.500, 0.500, 0.865)

***

This entry pairs a crystal structure of SrCeEuNbO6 with its simulated powder X-ray diffraction pattern. Radiation: CuKα. Structure: the GGA-PBE geometry in the Materials Project.

Most intense lines, 10 to 90 degrees two-theta, by intensity:
| d/Å | I/Imax |
| --- | --- |
| 2.977 | 100.0 |
| 2.929 | 57.7 |
| 1.700 | 46.1 |
| 2.071 | 26.8 |
| 1.728 | 24.1 |
| 1.488 | 17.8 |

Cell and atoms:
Cell: 5.857 5.857 8.563 Å, 90.00 90.00 90.00°
Positions (direct):
Sr (0.000, 0.500, 0.250)
Sr (0.500, 0.000, 0.750)
Ce (0.000, 0.000, 0.500)
Ce (0.500, 0.500, 0.000)
Eu (0.000, 0.500, 0.750)
Eu (0.500, 0.000, 0.250)
Nb (0.000, 0.000, 0.000)
Nb (0.500, 0.500, 0.500)
O (0.000, 0.000, 0.238)
O (0.000, 0.000, 0.762)
O (0.160, 0.308, 0.997)
O (0.192, 0.340, 0.503)
O (0.308, 0.840, 0.003)
O (0.340, 0.808, 0.497)
O (0.500, 0.500, 0.262)
O (0.500, 0.500, 0.738)
O (0.660, 0.192, 0.497)
O (0.692, 0.160, 0.003)
O (0.808, 0.660, 0.503)
O (0.840, 0.692, 0.997)

***

This entry pairs a crystal structure of Ca10Nb5InO24 with its simulated powder X-ray diffraction pattern. Radiation: CuKα. Structure: the GGA-PBE geometry in the Materials Project.

Most intense lines, 10 to 90 degrees two-theta, by intensity:
| d/Å | I/Imax |
| --- | --- |
| 2.862 | 100.0 |
| 4.047 | 38.1 |
| 2.849 | 33.6 |
| 2.910 | 32.0 |
| 2.795 | 27.6 |
| 1.627 | 25.3 |

Cell and atoms:
Cell: 8.053 8.089 9.836 Å, 113.28 112.90 92.31°
Positions (direct):
Ca (0.000, 0.000, 0.000)
Ca (0.008, 0.513, 0.988)
Ca (0.110, 0.163, 0.747)
Ca (0.203, 0.808, 0.505)
Ca (0.217, 0.333, 0.497)
Ca (0.355, 0.913, 0.246)
Ca (0.512, 0.510, 0.005)
Ca (0.527, 0.028, 0.008)
Ca (0.695, 0.306, 0.487)
Ca (0.704, 0.816, 0.486)
Nb (0.106, 0.667, 0.749)
Nb (0.347, 0.406, 0.239)
Nb (0.602, 0.175, 0.743)
Nb (0.608, 0.676, 0.749)
Nb (0.873, 0.921, 0.256)
In (0.861, 0.416, 0.249)
O (0.019, 0.850, 0.665)
O (0.045, 0.821, 0.162)
O (0.066, 0.062, 0.475)
O (0.155, 0.503, 0.317)
O (0.160, 0.263, 0.019)
O (0.194, 0.474, 0.817)
O (0.252, 0.867, 0.971)
O (0.339, 0.683, 0.694)
O (0.348, 0.217, 0.320)
O (0.401, 0.624, 0.207)
O (0.410, 0.143, 0.814)
O (0.460, 0.973, 0.522)
O (0.532, 0.390, 0.700)
O (0.554, 0.578, 0.512)
O (0.573, 0.334, 0.204)
O (0.658, 0.750, 0.983)
O (0.659, 0.996, 0.300)
O (0.686, 0.933, 0.801)
O (0.766, 0.351, 0.989)
O (0.815, 0.194, 0.694)
O (0.826, 0.697, 0.290)
O (0.879, 0.641, 0.795)
O (0.880, 0.125, 0.185)
O (0.961, 0.464, 0.508)